(1)
For Na2LiEuCl6, a cell relaxed with GGA-PBE gives the simulated PXRD pattern in this record (Cu Kα X-rays).

Principal peaks in the range 5° ≤ 2θ ≤ 70°, low angle first:
- hkl 1 1 1, 2θ 14.76, intensity 94
- hkl 2 0 0, 2θ 17.06, intensity 100
- hkl 2 2 0, 2θ 24.22, intensity 44
- hkl 3 1 1, 2θ 28.49, intensity 77
- hkl 4 0 0, 2θ 34.52, intensity 90
- hkl 3 3 1, 2θ 37.73, intensity 44
- hkl 4 2 0, 2θ 38.75, intensity 47
- hkl 3 3 3, 2θ 45.35, intensity 25
- hkl 4 4 0, 2θ 49.63, intensity 58
- hkl 5 3 1, 2θ 52.07, intensity 24

Structure:
```
data_Na2LiEuCl6
_chemical_formula_sum 'Na8 Li4 Eu4 Cl24'
_space_group_name_H-M_alt 'F m -3 m'
_space_group_IT_number 225
_space_group_name_Hall '-F 4 2 3'
_cell_length_a 10.392
_cell_length_b 10.392
_cell_length_c 10.392
_cell_angle_alpha 90.00
_cell_angle_beta 90.00
_cell_angle_gamma 90.00
loop_
_atom_site_label
_atom_site_type_symbol
_atom_site_fract_x
_atom_site_fract_y
_atom_site_fract_z
Na1 Na 0.250 0.250 0.250
Li1 Li 0.000 0.000 0.000
Eu1 Eu 0.000 0.000 0.500
Cl1 Cl 0.000 0.000 0.242
```

***

(2)
For Rb2LiEuCl6, a cell relaxed with GGA-PBE gives the simulated PXRD pattern in this record (Cu Kα X-rays).

Principal peaks in the range 5° ≤ 2θ ≤ 70°, low angle first:
- hkl 1 1 1, 2θ 14.52, intensity 59
- hkl 2 2 0, 2θ 23.81, intensity 100
- hkl 3 1 1, 2θ 28.00, intensity 46
- hkl 2 2 2, 2θ 29.27, intensity 34
- hkl 4 0 0, 2θ 33.93, intensity 91
- hkl 3 3 1, 2θ 37.08, intensity 25
- hkl 4 2 2, 2θ 41.88, intensity 47
- hkl 4 4 0, 2θ 48.74, intensity 61
- hkl 6 2 0, 2θ 54.95, intensity 22
- hkl 6 4 2, 2θ 66.17, intensity 25

Structure:
```
data_Rb2LiEuCl6
_chemical_formula_sum 'Rb8 Li4 Eu4 Cl24'
_space_group_name_H-M_alt 'F m -3 m'
_space_group_IT_number 225
_space_group_name_Hall '-F 4 2 3'
_cell_length_a 10.568
_cell_length_b 10.568
_cell_length_c 10.568
_cell_angle_alpha 90.00
_cell_angle_beta 90.00
_cell_angle_gamma 90.00
loop_
_atom_site_label
_atom_site_type_symbol
_atom_site_fract_x
_atom_site_fract_y
_atom_site_fract_z
Rb1 Rb 0.250 0.250 0.250
Li1 Li 0.000 0.000 0.000
Eu1 Eu 0.000 0.000 0.500
Cl1 Cl 0.000 0.000 0.244
```